1.
CsPb2: calculated X-ray powder pattern (Cu Kα X-rays), based on a cell relaxed with GGA-PBE.
No peak broadening, texture or thermal motion is included.

Cell lengths 5.4689, 9.1998, 9.8903 Å; angles 90.00, 90.00, 90.00 degrees
Space group Imma (No. 74)
Unique sites:
Cs  0.0000  0.2500  0.0760 (multiplicity 4)
Pb  0.0000  0.0777  0.6593 (multiplicity 8)

Principal peaks in the range 10° ≤ 2θ ≤ 90°, sorted by position:
two_theta  I_rel
26.2  100
26.9  68
30.5  70
31.7  70
32.8  52
38.3  36
45.4  48
50.2  41

2.
CsPb: calculated X-ray powder pattern (Cu Kα X-rays), based on a cell relaxed with GGA-PBE.
No peak broadening, texture or thermal motion is included.

Cell lengths 12.5032, 12.5032, 20.4216 Å; angles 90.00, 90.00, 90.00 degrees
Space group I4_1/acd (No. 142, origin choice 2)
Unique sites:
Cs  0.1201  0.1299  0.1250 (multiplicity 16)
Cs  0.1395  0.0000  0.7500 (multiplicity 16)
Pb  0.0602  0.1400  0.9301 (multiplicity 32)

Principal peaks in the range 10° ≤ 2θ ≤ 90°, sorted by position:
two_theta  I_rel
13.2  89
26.1  100
27.0  88
28.6  61
29.9  50
33.9  38
45.6  35
50.2  32